The following is a calculated X-ray powder pattern of ZrInSeBr2. It was derived from a cell relaxed with PBE, using Cu Kα.
Intensities are scaled so that the largest is 100.

Crystal structure
abc: 5.4069 5.4069 5.2636
angles: 90.00 90.00 90.00
Sites, in units of the cell vectors:
Zr  0.0000  0.0000  0.0000
In  0.5000  0.5000  0.5000
Se  0.0000  0.0000  0.5000
Br  0.0000  0.5000  0.0000
Br  0.5000  0.0000  0.0000

Top 6 peaks for 2θ = 10–90°, in order of rising 2θ:
23.59°, intensity 40, (1 0 1); 28.86°, intensity 100, (1 1 1); 33.14°, intensity 100, (2 0 0); 34.07°, intensity 46, (0 0 2); 47.57°, intensity 35, (2 2 0); 48.26°, intensity 67, (2 0 2)